Entry 1:
Starting from DFT lattice parameters and positions (GGA-PBE), the powder diffraction line list of CaNi5 was computed for Cu Kα (λ = 1.5418 Å).
Peak positions follow from Bragg's law for the DFT cell and can differ from measured ones.

Top 10 peaks for 2θ = 10–90°, by angle:
- d = 4.281 Å, I 49
- d = 4.250 Å, I 25
- d = 2.141 Å, I 30
- d = 2.093 Å, I 47
- d = 2.082 Å, I 100
- d = 1.956 Å, I 49
- d = 1.878 Å, I 60
- d = 1.867 Å, I 30
- d = 1.341 Å, I 18
- d = 1.230 Å, I 18

Atomic structure:
```
12
Lattice="-3.9121 4.2500 2.4778 3.9121 -4.2500 2.4778 3.9121 4.2500 -2.4778" Properties=species:S:1:pos:R:3 pbc="T T T"
Ca 0.0000 2.1250 1.1408
Ca 3.9121 2.1250 1.3369
Ni 1.9561 2.1250 -1.2389
Ni 1.8803 0.0000 0.0000
Ni 1.9561 -2.1250 1.2389
Ni 5.9440 0.0000 0.0000
Ni 3.9121 -0.7067 1.0932
Ni 3.9121 3.5432 -1.0932
Ni 1.8803 4.2500 0.0000
Ni 2.0319 0.0000 2.4778
Ni 0.0000 0.7067 3.5710
Ni 0.0000 4.9567 1.3846
```


Entry 2:
Starting from DFT lattice parameters and positions (GGA-PBE), the powder diffraction line list of Mg3Si8Ir3 was computed for Cu Kα (λ = 1.5418 Å).
Peak positions follow from Bragg's law for the DFT cell and can differ from measured ones.

Top 10 peaks for 2θ = 10–90°, by angle:
- d = 6.138 Å, I 40
- d = 4.340 Å, I 34
- d = 3.544 Å, I 100
- d = 3.069 Å, I 67
- d = 2.170 Å, I 64
- d = 1.851 Å, I 82
- d = 1.408 Å, I 24
- d = 1.373 Å, I 24
- d = 1.253 Å, I 22
- d = 1.181 Å, I 22

Atomic structure:
```
28
Lattice="0.0000 6.1383 6.1383 6.1383 0.0000 6.1383 6.1383 6.1383 0.0000" Properties=species:S:1:pos:R:3 pbc="T T T"
Mg 0.0000 0.0000 0.0000
Mg 4.9064 4.9064 4.9064
Mg 7.3701 7.3701 4.9064
Mg 7.3701 4.9064 7.3701
Mg 9.2074 9.2074 9.2074
Mg 4.9064 7.3701 7.3701
Si 6.9936 5.2830 2.7072
Si 6.9936 2.7072 5.2830
Si 9.5693 5.2830 5.2830
Si 2.1596 2.1596 2.1596
Si 3.9787 3.9787 2.1596
Si 3.9787 2.1596 3.9787
Si 5.2830 6.9936 2.7072
Si 5.2830 2.7072 6.9936
Si 9.5693 6.9936 6.9936
Si 2.1596 3.9787 3.9787
Si 2.7072 6.9936 5.2830
Si 5.2830 9.5693 5.2830
Si 2.7072 5.2830 6.9936
Si 6.9936 9.5693 6.9936
Si 5.2830 5.2830 9.5693
Si 6.9936 6.9936 9.5693
Ir 3.0691 3.0691 0.0615
Ir 3.0691 0.0615 3.0691
Ir 6.0768 3.0691 3.0691
Ir 0.0615 3.0691 3.0691
Ir 3.0691 6.0768 3.0691
Ir 3.0691 3.0691 6.0768
```


Entry 3:
Starting from DFT lattice parameters and positions (GGA-PBE), the powder diffraction line list of BaMg14Si was computed for Cu Kα (λ = 1.5418 Å).
Peak positions follow from Bragg's law for the DFT cell and can differ from measured ones.

Top 10 peaks for 2θ = 10–90°, by angle:
- d = 5.627 Å, I 23
- d = 4.977 Å, I 26
- d = 3.870 Å, I 19
- d = 2.814 Å, I 27
- d = 2.666 Å, I 25
- d = 2.488 Å, I 100
- d = 1.935 Å, I 17
- d = 1.624 Å, I 17
- d = 1.503 Å, I 17
- d = 1.387 Å, I 18

Atomic structure:
```
16
Lattice="6.4977 0.0000 0.0000 -3.2488 5.6272 0.0000 0.0000 0.0000 10.6630" Properties=species:S:1:pos:R:3 pbc="T T T"
Ba 0.0000 0.0000 0.0000
Mg -1.5654 2.8477 0.0000
Mg 0.0000 1.8804 2.8833
Mg 0.0000 1.8804 7.7797
Mg -1.6203 4.6869 2.8833
Mg -1.6203 4.6869 7.7797
Mg 1.5654 2.8477 0.0000
Mg 0.0000 5.5590 0.0000
Mg 3.2488 0.0469 5.3315
Mg 1.6650 2.7901 5.3315
Mg 1.6203 4.6869 2.8833
Mg 1.6203 4.6869 7.7797
Mg 3.2488 1.8757 2.5675
Mg 3.2488 1.8757 8.0955
Mg 4.8327 2.7901 5.3315
Si 0.0000 0.0000 5.3315
```


Entry 4:
Starting from DFT lattice parameters and positions (GGA-PBE), the powder diffraction line list of Tb2Ge5Ir3 was computed for Cu Kα (λ = 1.5418 Å).
Peak positions follow from Bragg's law for the DFT cell and can differ from measured ones.

Top 10 peaks for 2θ = 10–90°, by angle:
- d = 3.674 Å, I 28
- d = 2.822 Å, I 24
- d = 2.664 Å, I 100
- d = 2.611 Å, I 64
- d = 2.559 Å, I 54
- d = 2.113 Å, I 91
- d = 1.851 Å, I 24
- d = 1.670 Å, I 29
- d = 1.515 Å, I 21
- d = 1.303 Å, I 22

Atomic structure:
```
20
Lattice="-5.1471 5.8999 3.0294 5.1471 -5.8999 3.0294 5.1471 5.8999 -3.0294" Properties=species:S:1:pos:R:3 pbc="T T T"
Tb 2.3564 1.5642 0.0000
Tb 2.3564 -1.5642 3.0294
Tb 2.7906 7.4642 0.0000
Tb 2.7906 4.3357 3.0294
Ge 5.1471 -2.6625 1.5147
Ge 6.7975 1.1901 0.0000
Ge 0.0000 0.0000 1.5147
Ge 1.6504 4.7098 0.0000
Ge 5.1471 2.6625 1.5147
Ge 0.0000 3.2374 1.5147
Ge 3.4967 1.1901 3.0294
Ge 0.0000 0.0000 4.5441
Ge -1.6504 4.7098 3.0294
Ge 0.0000 8.5624 1.5147
Ir 3.9924 -4.2345 3.0294
Ir 5.1471 0.0000 1.5147
Ir 3.9924 4.2345 0.0000
Ir 1.1547 1.6654 3.0294
Ir 0.0000 5.8999 1.5147
Ir 1.1547 10.1345 0.0000
```


Entry 5:
Starting from DFT lattice parameters and positions (GGA-PBE), the powder diffraction line list of YTiF5 was computed for Cu Kα (λ = 1.5418 Å).
Peak positions follow from Bragg's law for the DFT cell and can differ from measured ones.

Top 10 peaks for 2θ = 10–90°, by angle:
- d = 5.366 Å, I 23
- d = 4.216 Å, I 95
- d = 3.753 Å, I 20
- d = 3.590 Å, I 100
- d = 3.478 Å, I 69
- d = 2.108 Å, I 29
- d = 2.096 Å, I 29
- d = 2.029 Å, I 36
- d = 1.818 Å, I 26
- d = 1.462 Å, I 22

Atomic structure:
```
7
Lattice="-2.0955 3.4780 4.2156 2.0955 -3.4780 4.2156 2.0955 3.4780 -4.2156" Properties=species:S:1:pos:R:3 pbc="T T T"
Y 0.0000 0.0000 0.0000
Ti 0.0000 0.0000 4.2156
F 2.0955 0.0000 0.0000
F 0.0000 0.0000 2.1993
F 0.0000 2.2188 0.0000
F 0.0000 4.7372 0.0000
F 0.0000 0.0000 6.2319
```


Entry 6:
Starting from DFT lattice parameters and positions (GGA-PBE), the powder diffraction line list of Ce3Ga was computed for Cu Kα (λ = 1.5418 Å).
Peak positions follow from Bragg's law for the DFT cell and can differ from measured ones.

Top 10 peaks for 2θ = 10–90°, by angle:
- d = 3.833 Å, I 11
- d = 2.919 Å, I 25
- d = 2.541 Å, I 24
- d = 2.531 Å, I 100
- d = 2.207 Å, I 5
- d = 1.917 Å, I 15
- d = 1.686 Å, I 18
- d = 1.465 Å, I 18
- d = 1.404 Å, I 33
- d = 1.106 Å, I 7

Atomic structure:
```
8
Lattice="6.7421 0.0000 0.0000 -3.3710 5.8388 0.0000 0.0000 0.0000 5.0818" Properties=species:S:1:pos:R:3 pbc="T T T"
Ce 0.0000 2.0998 1.2705
Ce -1.5525 4.7889 1.2705
Ce 1.8185 1.0499 3.8114
Ce 1.5525 4.7889 1.2705
Ce 4.9235 1.0499 3.8114
Ce 3.3710 3.7390 3.8114
Ga 0.0000 3.8925 3.8114
Ga 3.3710 1.9463 1.2705
```